# Rb3UAl2O8
Simulated powder diffraction line list, Cu Kα (weighted mean of Kα1 and Kα2). Input: a structure optimized by DFT (PBE).
Lines closer than 0.1° are merged.

Atomic structure:
Unit cell a=5.8743 b=5.8743 c=8.3264 alpha=90.00 beta=90.00 gamma=120.00
Element x y z (fractional)
Rb (0.0000, 0.0000, 0.0000)
Rb (0.3333, 0.6667, 0.7495)
Rb (0.6667, 0.3333, 0.2505)
U (0.0000, 0.0000, 0.5000)
Al (0.3333, 0.6667, 0.2818)
Al (0.6667, 0.3333, 0.7182)
O (0.1678, 0.3356, 0.3541)
O (0.1678, 0.8322, 0.3541)
O (0.3333, 0.6667, 0.0721)
O (0.3356, 0.1678, 0.6459)
O (0.6644, 0.8322, 0.3541)
O (0.6667, 0.3333, 0.9279)
O (0.8322, 0.1678, 0.6459)
O (0.8322, 0.6644, 0.6459)

Top 10 peaks for 2θ = 10–90°, most intense first:
d = 3.222 Å, 27.7 deg, rel. 1000, hkl 1 0 2
d = 2.937 Å, 30.4 deg, rel. 683, hkl 1 1 0
d = 1.697 Å, 54.0 deg, rel. 406, hkl 1 1 4
d = 2.171 Å, 41.6 deg, rel. 377, hkl 2 0 2
d = 4.341 Å, 20.5 deg, rel. 356, hkl 0 1 1
d = 1.746 Å, 52.4 deg, rel. 346, hkl 2 1 2
d = 5.087 Å, 17.4 deg, rel. 334, hkl 1 0 0
d = 8.326 Å, 10.6 deg, rel. 293, hkl 0 0 1
d = 2.435 Å, 36.9 deg, rel. 232, hkl 1 0 3
d = 1.336 Å, 70.5 deg, rel. 148, hkl 1 3 2